[1]
The following is a simulated X-ray diffraction stick pattern of Tm6BiPb3. It was derived from DFT lattice parameters and positions (GGA-PBE), using Cu Kα X-rays.

Principal peaks in the range 2θ from 5° to 70°, most intense first:
- 31.6 deg, d = 2.830 Å, rel. 100
- 36.5 deg, d = 2.463 Å, rel. 97
- 40.9 deg, d = 2.206 Å, rel. 90
- 31.3 deg, d = 2.861 Å, rel. 87
- 32.6 deg, d = 2.745 Å, rel. 78
- 27.7 deg, d = 3.219 Å, rel. 55

Atomic structure:
```
20
Lattice="11.3123 0.0000 0.0000 0.0000 4.4118 0.0000 -2.5841 0.0000 12.3607" Properties=species:S:1:pos:R:3 pbc="T T T"
Tm -0.4883 1.1030 4.5081
Tm -1.7053 1.1030 10.9477
Tm 2.1585 3.3089 3.8560
Tm 1.1940 3.3089 9.4496
Tm 2.9122 1.1030 6.7117
Tm 4.2917 3.3089 1.1787
Tm 4.4365 1.1030 11.1821
Tm 5.8160 3.3089 5.6490
Tm 7.5342 1.1030 2.9111
Tm 6.5697 1.1030 8.5048
Tm 10.4335 3.3089 1.4131
Tm 9.2165 3.3089 7.8526
Bi 4.4525 1.1030 3.7367
Bi 4.2757 3.3089 8.6241
Pb 1.3130 1.1030 1.7389
Pb 0.6400 3.3089 6.4443
Pb 1.3521 1.1030 11.4538
Pb 7.3762 3.3089 0.9070
Pb 8.0882 1.1030 5.9165
Pb 7.4152 3.3089 10.6219
```

=====

[2]
The following is a simulated X-ray diffraction stick pattern of Tm10Bi3Pb3. It was derived from DFT lattice parameters and positions (GGA-PBE), using Cu Kα X-rays.

Principal peaks in the range 2θ from 5° to 70°, most intense first:
- 33.5 deg, d = 2.678 Å, rel. 100
- 34.3 deg, d = 2.611 Å, rel. 70
- 34.5 deg, d = 2.600 Å, rel. 41
- 52.9 deg, d = 1.730 Å, rel. 28
- 30.3 deg, d = 2.948 Å, rel. 25
- 66.7 deg, d = 1.402 Å, rel. 23

Atomic structure:
```
16
Lattice="9.0065 0.0000 0.0000 -4.5032 7.7998 0.0000 0.0000 0.0000 6.4098" Properties=species:S:1:pos:R:3 pbc="T T T"
Tm -1.0696 1.8526 0.0000
Tm -3.4336 5.9471 3.2049
Tm 2.1392 0.0000 0.0000
Tm 1.0697 1.8527 3.2049
Tm 0.0000 5.1999 1.5919
Tm 0.0000 5.1999 4.8180
Tm 4.5032 2.5999 1.5919
Tm 4.5032 2.5999 4.8180
Tm 6.8672 0.0000 3.2049
Tm 3.4336 5.9472 0.0000
Bi -1.7672 3.0609 3.2049
Bi 3.5344 0.0000 3.2049
Bi 2.7360 4.7389 3.2049
Pb -2.7372 4.7410 0.0000
Pb 1.7660 3.0589 0.0000
Pb 5.4744 0.0000 0.0000
```

=====

[3]
The following is a simulated X-ray diffraction stick pattern of ZrBiPb. It was derived from DFT lattice parameters and positions (GGA-PBE), using Cu Kα X-rays.

Principal peaks in the range 2θ from 5° to 70°, most intense first:
- 30.9 deg, d = 2.895 Å, rel. 100
- 38.2 deg, d = 2.356 Å, rel. 32
- 38.8 deg, d = 2.320 Å, rel. 25
- 52.7 deg, d = 1.738 Å, rel. 23
- 53.6 deg, d = 1.709 Å, rel. 23
- 61.5 deg, d = 1.507 Å, rel. 18

Atomic structure:
```
12
Lattice="7.3377 0.0000 0.0000 0.0000 7.3377 0.0000 0.0000 0.0000 6.1489" Properties=species:S:1:pos:R:3 pbc="T T T"
Zr 0.0000 0.0000 1.5258
Zr 0.0000 0.0000 4.6231
Zr 3.6689 3.6689 1.5258
Zr 3.6689 3.6689 4.6231
Bi 1.1198 2.5491 0.0000
Bi 2.5491 6.2179 0.0000
Bi 4.7886 1.1198 0.0000
Bi 6.2179 4.7886 0.0000
Pb 1.3810 5.0498 3.0744
Pb 2.2879 1.3810 3.0744
Pb 5.0498 5.9568 3.0744
Pb 5.9568 2.2879 3.0744
```

=====

[4]
The following is a simulated X-ray diffraction stick pattern of Bi2Pd5. It was derived from DFT lattice parameters and positions (GGA-PBE), using Cu Kα X-rays.

Principal peaks in the range 2θ from 5° to 70°, most intense first:
- 40.4 deg, d = 2.234 Å, rel. 100
- 41.6 deg, d = 2.170 Å, rel. 95
- 37.9 deg, d = 2.374 Å, rel. 80
- 37.6 deg, d = 2.391 Å, rel. 47
- 40.2 deg, d = 2.245 Å, rel. 42
- 33.9 deg, d = 2.641 Å, rel. 35

Atomic structure:
```
14
Lattice="7.2221 -2.9412 0.0000 7.2221 2.9412 0.0000 -3.1266 0.0000 6.1151" Properties=species:S:1:pos:R:3 pbc="T T T"
Bi 0.1527 0.0000 2.4789
Bi 4.8807 0.0000 0.8695
Bi 6.4370 0.0000 5.2456
Bi 11.1650 0.0000 3.6362
Pd 1.6673 1.4607 4.4813
Pd -0.7601 0.0000 5.2563
Pd 7.2221 1.4753 0.0000
Pd 4.0287 0.0000 3.5865
Pd 9.6504 1.4607 1.6338
Pd 1.6673 -1.4607 4.4813
Pd 7.2891 0.0000 2.5286
Pd 7.2221 -1.4753 0.0000
Pd 12.0778 0.0000 0.8588
Pd 9.6504 -1.4607 1.6338
```

=====

[5]
The following is a simulated X-ray diffraction stick pattern of Bi6Pd5. It was derived from DFT lattice parameters and positions (GGA-PBE), using Cu Kα X-rays.

Principal peaks in the range 2θ from 5° to 70°, most intense first:
- 36.3 deg, d = 2.475 Å, rel. 100
- 36.2 deg, d = 2.484 Å, rel. 25
- 36.8 deg, d = 2.444 Å, rel. 24
- 25.6 deg, d = 3.484 Å, rel. 19
- 65.9 deg, d = 1.417 Å, rel. 18
- 65.1 deg, d = 1.433 Å, rel. 17

Atomic structure:
```
11
Lattice="-2.4437 3.5164 7.4529 2.4437 -3.5164 7.4529 2.4437 3.5164 -7.4529" Properties=species:S:1:pos:R:3 pbc="T T T"
Bi 2.4437 1.7677 -2.4465
Bi 0.0000 1.7442 0.0000
Bi 2.4437 1.7677 2.4465
Bi 0.0000 1.7487 5.0064
Bi 0.0000 5.2885 0.0000
Bi 0.0000 1.7487 9.8995
Pd 2.4437 0.0000 0.0000
Pd 0.0000 0.0000 2.5282
Pd 2.4437 0.0000 4.7872
Pd 0.0000 3.5164 2.6658
Pd 0.0000 0.0000 12.3777
```

=====

[6]
The following is a simulated X-ray diffraction stick pattern of Bi4Pd5. It was derived from DFT lattice parameters and positions (GGA-PBE), using Cu Kα X-rays.

Principal peaks in the range 2θ from 5° to 70°, most intense first:
- 29.4 deg, d = 3.038 Å, rel. 100
- 42.7 deg, d = 2.120 Å, rel. 61
- 38.7 deg, d = 2.328 Å, rel. 58
- 39.3 deg, d = 2.292 Å, rel. 51
- 27.5 deg, d = 3.241 Å, rel. 31
- 61.0 deg, d = 1.519 Å, rel. 29

Atomic structure:
```
9
Lattice="-5.1250 5.1250 2.0288 5.1250 -5.1250 2.0288 5.1250 5.1250 -2.0288" Properties=species:S:1:pos:R:3 pbc="T T T"
Bi 7.5007 0.9598 0.0000
Bi 0.9598 2.7492 0.0000
Bi 4.1651 2.3758 2.0288
Bi -2.3758 4.1651 2.0288
Pd 0.0000 0.0000 0.0000
Pd 5.9593 3.2697 0.0000
Pd 3.2697 4.2906 0.0000
Pd 1.8552 0.8343 2.0288
Pd -0.8343 1.8552 2.0288
```

=====

[7]
The following is a simulated X-ray diffraction stick pattern of Bi3Pd4. It was derived from DFT lattice parameters and positions (GGA-PBE), using Cu Kα X-rays.

Principal peaks in the range 2θ from 5° to 70°, most intense first:
- 37.6 deg, d = 2.391 Å, rel. 100
- 35.4 deg, d = 2.534 Å, rel. 65
- 65.0 deg, d = 1.434 Å, rel. 41
- 51.0 deg, d = 1.792 Å, rel. 23
- 69.3 deg, d = 1.356 Å, rel. 12
- 25.2 deg, d = 3.539 Å, rel. 11

Atomic structure:
```
7
Lattice="11.3735 -1.7919 0.0000 11.3735 1.7919 0.0000 -0.5604 0.0000 3.5403" Properties=species:S:1:pos:R:3 pbc="T T T"
Bi 0.0000 0.0000 0.0000
Bi 3.4061 0.0000 0.5461
Bi 18.7806 0.0000 2.9943
Pd 6.2822 0.0000 1.0028
Pd 9.3668 0.0000 1.4969
Pd 12.8199 0.0000 2.0434
Pd 15.9045 0.0000 2.5375
```

=====

[8]
The following is a simulated X-ray diffraction stick pattern of Bi3Pd4. It was derived from DFT lattice parameters and positions (GGA-PBE), using Cu Kα X-rays.

Principal peaks in the range 2θ from 5° to 70°, most intense first:
- 35.0 deg, d = 2.567 Å, rel. 100
- 34.5 deg, d = 2.598 Å, rel. 78
- 47.1 deg, d = 1.929 Å, rel. 30
- 37.1 deg, d = 2.425 Å, rel. 28
- 36.7 deg, d = 2.447 Å, rel. 26
- 27.5 deg, d = 3.243 Å, rel. 24

Atomic structure:
```
14
Lattice="1.9288 -5.2748 0.0000 1.9288 5.2748 0.0000 0.0000 0.0000 14.5509" Properties=species:S:1:pos:R:3 pbc="T T T"
Bi 1.9288 4.4927 10.9132
Bi 1.9288 1.6531 8.7147
Bi 1.9288 1.6531 13.1117
Bi 1.9288 -1.6531 1.4393
Bi 1.9288 -1.6531 5.8362
Bi 1.9288 -4.4927 3.6377
Pd 0.0000 0.0000 0.0000
Pd 0.0000 0.0000 7.2755
Pd 1.9288 3.1853 3.6377
Pd 1.9288 1.3718 1.4703
Pd 1.9288 1.3718 5.8052
Pd 1.9288 -1.3718 8.7458
Pd 1.9288 -1.3718 13.0807
Pd 1.9288 -3.1853 10.9132
```

=====

[9]
The following is a simulated X-ray diffraction stick pattern of BiPd. It was derived from DFT lattice parameters and positions (GGA-PBE), using Cu Kα X-rays.

Principal peaks in the range 2θ from 5° to 70°, most intense first:
- 33.0 deg, d = 2.712 Å, rel. 100
- 32.7 deg, d = 2.738 Å, rel. 60
- 34.9 deg, d = 2.571 Å, rel. 38
- 40.9 deg, d = 2.207 Å, rel. 31
- 39.0 deg, d = 2.308 Å, rel. 29
- 40.7 deg, d = 2.215 Å, rel. 27

Atomic structure:
```
16
Lattice="5.7072 0.0000 0.0000 0.0000 10.8331 0.0000 -1.0657 0.0000 5.6607" Properties=species:S:1:pos:R:3 pbc="T T T"
Bi 0.2267 1.5151 2.3080
Bi -0.3061 3.9015 5.1384
Bi 1.3259 6.9772 3.6643
Bi 1.8587 9.2725 0.8339
Bi 2.7828 1.5607 4.8268
Bi 3.3156 3.8559 1.9964
Bi 4.9476 6.9316 0.5223
Bi 4.4148 9.3181 3.3527
Pd -0.0388 0.9621 5.2449
Pd 0.4940 4.4545 2.4146
Pd 2.1283 6.3133 0.9102
Pd 1.5955 9.9364 3.7406
Pd 3.0461 0.8968 1.9201
Pd 2.5132 4.5198 4.7505
Pd 4.1475 6.3786 3.2461
Pd 4.6803 9.8711 0.4158
```

=====

[10]
The following is a simulated X-ray diffraction stick pattern of Bi2Pd5. It was derived from DFT lattice parameters and positions (GGA-PBE), using Cu Kα X-rays.

Principal peaks in the range 2θ from 5° to 70°, most intense first:
- 40.2 deg, d = 2.242 Å, rel. 100
- 38.2 deg, d = 2.355 Å, rel. 96
- 41.8 deg, d = 2.161 Å, rel. 93
- 39.5 deg, d = 2.283 Å, rel. 37
- 62.7 deg, d = 1.483 Å, rel. 35
- 33.9 deg, d = 2.643 Å, rel. 33

Atomic structure:
```
14
Lattice="3.4798 -6.3981 0.0000 3.4798 6.3981 0.0000 0.0000 0.0000 5.8613" Properties=species:S:1:pos:R:3 pbc="T T T"
Bi 1.3986 1.3488 0.0000
Bi 1.3986 -1.3488 2.9307
Bi 5.5609 1.3488 2.9307
Bi 5.5609 -1.3488 0.0000
Pd 1.4821 1.5514 2.9307
Pd 3.4798 2.9050 1.4653
Pd 3.4798 2.9050 4.3960
Pd 1.4821 -1.5514 0.0000
Pd 3.4798 0.0000 1.4653
Pd 3.4798 0.0000 4.3960
Pd 5.4774 1.5514 0.0000
Pd 3.4798 -2.9050 1.4653
Pd 3.4798 -2.9050 4.3960
Pd 5.4774 -1.5514 2.9307
```

=====

[11]
The following is a simulated X-ray diffraction stick pattern of Bi3Pd5. It was derived from DFT lattice parameters and positions (GGA-PBE), using Cu Kα X-rays.

Principal peaks in the range 2θ from 5° to 70°, most intense first:
- 37.0 deg, d = 2.432 Å, rel. 100
- 37.6 deg, d = 2.392 Å, rel. 35
- 31.4 deg, d = 2.847 Å, rel. 26
- 38.6 deg, d = 2.330 Å, rel. 20
- 36.7 deg, d = 2.446 Å, rel. 15
- 67.4 deg, d = 1.389 Å, rel. 13

Atomic structure:
```
16
Lattice="4.6598 -3.5488 0.0000 4.6598 3.5488 0.0000 0.0000 0.0000 9.5698" Properties=species:S:1:pos:R:3 pbc="T T T"
Bi 4.6598 2.9169 7.1773
Bi 2.7818 0.0000 0.0000
Bi 2.7818 0.0000 4.7849
Bi 6.5378 0.0000 0.0000
Bi 6.5378 0.0000 4.7849
Bi 4.6598 -2.9169 2.3924
Pd 2.6050 1.9485 2.3924
Pd 4.6598 2.1374 0.3516
Pd 4.6598 2.1374 4.4333
Pd 6.7146 1.9485 2.3924
Pd 4.6598 0.0657 7.1773
Pd 4.6598 -0.0657 2.3924
Pd 2.6050 -1.9485 7.1773
Pd 4.6598 -2.1374 5.1365
Pd 4.6598 -2.1374 9.2182
Pd 6.7146 -1.9485 7.1773
```

=====

[12]
The following is a simulated X-ray diffraction stick pattern of PmBiPd2. It was derived from DFT lattice parameters and positions (GGA-PBE), using Cu Kα X-rays.

Principal peaks in the range 2θ from 5° to 70°, most intense first:
- 36.3 deg, d = 2.477 Å, rel. 100
- 65.3 deg, d = 1.430 Å, rel. 20
- 35.0 deg, d = 2.561 Å, rel. 16
- 51.3 deg, d = 1.780 Å, rel. 11
- 39.6 deg, d = 2.275 Å, rel. 8
- 25.0 deg, d = 3.560 Å, rel. 7

Atomic structure:
```
8
Lattice="4.9527 0.0000 0.0000 0.0000 6.8953 0.0000 0.0000 0.0000 5.1211" Properties=species:S:1:pos:R:3 pbc="T T T"
Pm 1.2382 1.7238 1.0826
Pm 3.7145 5.1715 4.0386
Bi 1.2382 5.1715 1.1885
Bi 3.7145 1.7238 3.9326
Pd 1.2382 0.0653 3.4990
Pd 1.2382 3.3824 3.4990
Pd 3.7145 3.5129 1.6221
Pd 3.7145 6.8301 1.6221
```